Entry 1:
Starting from a cell relaxed with PBE, the powder X-ray diffraction pattern of TbZnPd5 was simulated for Cu Kα (weighted mean of Kα1 and Kα2).
Kinematic intensities with the Lorentz-polarization factor, no thermal factor.

Top 8 peaks for 10° ≤ 2θ ≤ 90°, sorted by position:
- 33.00 deg, intensity 28
- 38.28 deg, intensity 12
- 39.91 deg, intensity 100
- 43.52 deg, intensity 44
- 59.32 deg, intensity 13
- 63.24 deg, intensity 14
- 69.94 deg, intensity 12
- 77.45 deg, intensity 28

Cell and atoms:
```
TbZnPd5
1.0
4.159 0.000 0.000
0.000 4.159 0.000
0.000 0.000 7.054
Tb Zn Pd
1 1 5
direct
0.000 0.000 0.000
0.500 0.500 0.500
0.000 0.500 0.287
0.000 0.500 0.713
0.500 0.000 0.287
0.500 0.000 0.713
0.500 0.500 0.000
```

***

Entry 2:
Starting from a cell relaxed with PBE, the powder X-ray diffraction pattern of KYB12 was simulated for Cu Kα (weighted mean of Kα1 and Kα2).
Kinematic intensities with the Lorentz-polarization factor, no thermal factor.

Top 8 peaks for 10° ≤ 2θ ≤ 90°, sorted by position:
- 18.47 deg, intensity 26
- 21.36 deg, intensity 26
- 30.39 deg, intensity 100
- 37.45 deg, intensity 45
- 43.51 deg, intensity 23
- 48.96 deg, intensity 42
- 67.56 deg, intensity 29
- 71.76 deg, intensity 21

Cell and atoms:
```
KYB12
1.0
0.000 4.160 4.160
4.160 0.000 4.160
4.160 4.160 0.000
K Y B
1 1 12
direct
0.000 0.000 0.000
0.500 0.500 0.500
0.101 0.101 0.399
0.101 0.399 0.101
0.101 0.399 0.399
0.399 0.101 0.101
0.399 0.101 0.399
0.399 0.399 0.101
0.601 0.601 0.899
0.601 0.899 0.601
0.601 0.899 0.899
0.899 0.601 0.601
0.899 0.601 0.899
0.899 0.899 0.601
```